Simulated powder XRD pattern
Compound: Li3AlCrO5
Radiation: Cu Kα (weighted mean of Kα1 and Kα2)
Structure: a GGA+U-relaxed structure
Intensities are scaled so that the largest is 100.

Top 10 peaks for 2θ from 10° to 90°, by intensity:
19.7°, I = 100, (1 2 0); 24.4°, I = 88, (0 3 1); 32.3°, I = 63, (1 5 0); 36.2°, I = 55, (0 0 2); 37.1°, I = 41, (1 5 1); 58.4°, I = 34, (3 5 0); 33.0°, I = 32, (2 0 0); 26.7°, I = 32, (1 2 1); 24.9°, I = 31, (1 1 1); 70.7°, I = 26, (3 5 2)

Atomic structure:
Cell lengths 5.4364, 16.0942, 4.9666 Å; angles 90.00, 90.00, 90.00 degrees
Space group Pna2_1 (No. 33)
Asymmetric unit:
Li 0.1647 0.0002 0.0000
Li 0.1678 0.2002 0.9911
Li 0.1702 0.6016 0.9991
Al 0.1679 0.7977 0.9902
Cr 0.1645 0.4026 0.9990
O 0.1463 0.2113 0.5862
O 0.1459 0.6012 0.5953
O 0.1780 0.8072 0.6293
O 0.1856 0.9938 0.5992
O 0.1937 0.3892 0.6261